1.
Structure and calculated powder diffraction line list of CaCu2P4O14 (a DFT-relaxed cell (GGA-PBE, the Materials Project); Cu Kα (weighted mean of Kα1 and Kα2)).
Kinematic intensities with the Lorentz-polarization factor, no thermal factor.

Main lines, in order of falling intensity (10 to 90 degrees two-theta):
| index | d/Å | 2θ/deg | I (rel.) |
| --- | --- | --- | --- |
| 1 0 -1 | 5.099 | 17.39 | 100 |
| 1 0 -3 | 3.464 | 25.72 | 72 |
| 0 1 -1 | 6.797 | 13.02 | 64 |
| 2 0 0 | 2.704 | 33.13 | 54 |
| 1 0 1 | 4.878 | 18.19 | 48 |
| 0 1 -2 | 5.011 | 17.70 | 44 |
| 0 3 -1 | 2.609 | 34.38 | 42 |
| 0 2 -1 | 3.816 | 23.31 | 31 |
| -1 3 2 | 2.260 | 39.89 | 28 |
| -1 1 3 | 3.178 | 28.07 | 22 |
| 0 1 6 | 2.069 | 43.76 | 22 |
| 2 2 -3 | 2.028 | 44.69 | 21 |

```
data_CaCu2P4O14
_chemical_formula_sum 'Ca2 Cu4 P8 O28'
_symmetry_space_group_name_H-M 'P -1'
_symmetry_Int_Tables_number 2
_symmetry_space_group_name_Hall '-P 1'
_cell_length_a 5.419
_cell_length_b 7.992
_cell_length_c 12.877
_cell_angle_alpha 90.19
_cell_angle_beta 93.56
_cell_angle_gamma 90.21
loop_
_atom_site_label
_atom_site_fract_x
_atom_site_fract_y
_atom_site_fract_z
_atom_site_occupancy
Ca1 0.205 0.184 0.231 1
Cu1 0.226 0.141 0.881 1
Cu2 0.266 0.640 0.621 1
P1 0.190 0.301 0.512 1
P2 0.235 0.530 0.833 1
P3 0.270 0.026 0.670 1
P4 0.315 0.803 0.987 1
O1 0.029 0.443 0.204 1
O2 0.091 0.114 0.743 1
O3 0.095 0.664 0.493 1
O4 0.145 0.850 0.656 1
O5 0.184 0.905 0.895 1
O6 0.200 0.824 0.089 1
O7 0.227 0.113 0.559 1
O8 0.283 0.612 0.947 1
O9 0.304 0.298 0.408 1
O10 0.317 0.411 0.598 1
O11 0.335 0.351 0.844 1
O12 0.399 0.163 0.013 1
O13 0.418 0.622 0.762 1
O14 0.463 0.980 0.294 1
```

---

2.
Structure and calculated powder diffraction line list of CaCuP2O7 (a DFT-relaxed cell (GGA-PBE, the Materials Project); Cu Kα (weighted mean of Kα1 and Kα2)).
Kinematic intensities with the Lorentz-polarization factor, no thermal factor.

Main lines, in order of falling intensity (10 to 90 degrees two-theta):
| index | d/Å | 2θ/deg | I (rel.) |
| --- | --- | --- | --- |
| 1 2 -2 | 3.180 | 28.06 | 100 |
| 1 0 2 | 2.849 | 31.39 | 79 |
| 2 1 -2 | 3.245 | 27.49 | 66 |
| 2 3 -2 | 2.261 | 39.87 | 35 |
| 2 2 0 | 2.626 | 34.15 | 31 |
| 1 3 0 | 2.703 | 33.14 | 24 |
| 1 1 -1 | 5.491 | 16.14 | 20 |
| 3 3 -4 | 1.687 | 54.39 | 20 |
| 1 1 0 | 5.251 | 16.88 | 18 |
| 4 0 -4 | 1.742 | 52.54 | 16 |
| 0 2 4 | 1.829 | 49.86 | 16 |
| 1 2 -1 | 3.756 | 23.69 | 15 |

```
data_CaCuP2O7
_chemical_formula_sum 'Ca4 Cu4 P8 O28'
_symmetry_space_group_name_H-M 'P 1 21/c 1'
_symmetry_Int_Tables_number 14
_symmetry_space_group_name_Hall '-P 2ybc'
_cell_length_a 7.432
_cell_length_b 8.918
_cell_length_c 9.176
_cell_angle_alpha 90.00
_cell_angle_beta 119.06
_cell_angle_gamma 90.00
loop_
_atom_site_label
_atom_site_fract_x
_atom_site_fract_y
_atom_site_fract_z
_atom_site_occupancy
Ca1 0.227 0.044 0.371 1
Cu1 0.280 0.083 0.891 1
P1 0.014 0.741 0.962 1
P2 0.447 0.719 0.265 1
O1 0.049 0.615 0.391 1
O2 0.052 0.103 0.658 1
O3 0.119 0.242 0.953 1
O4 0.232 0.672 0.104 1
O5 0.399 0.223 0.300 1
O6 0.428 0.638 0.845 1
O7 0.487 0.578 0.379 1
```

---

3.
Structure and calculated powder diffraction line list of CaCuP4Ru2O14 (a DFT-relaxed cell (GGA-PBE, the Materials Project); Cu Kα (weighted mean of Kα1 and Kα2)).
Kinematic intensities with the Lorentz-polarization factor, no thermal factor.

Main lines, in order of falling intensity (10 to 90 degrees two-theta):
| index | d/Å | 2θ/deg | I (rel.) |
| --- | --- | --- | --- |
| 0 1 -1 | 5.359 | 16.54 | 100 |
| -1 1 2 | 3.158 | 28.26 | 65 |
| 1 2 -1 | 2.401 | 37.46 | 42 |
| 1 -1 0 | 4.462 | 19.90 | 38 |
| 1 -2 1 | 2.914 | 30.68 | 35 |
| 1 1 0 | 3.498 | 25.46 | 24 |
| 0 2 2 | 2.545 | 35.26 | 23 |
| 0 1 -3 | 2.694 | 33.25 | 21 |
| 1 -1 1 | 3.916 | 22.71 | 19 |
| 1 0 -3 | 2.565 | 34.98 | 19 |
| 2 1 -1 | 2.088 | 43.35 | 19 |
| 1 0 0 | 4.845 | 18.31 | 17 |

```
data_CaCuP4Ru2O14
_chemical_formula_sum 'Ca1 Cu1 P4 Ru2 O14'
_symmetry_space_group_name_H-M 'P 1'
_symmetry_Int_Tables_number 1
_symmetry_space_group_name_Hall 'P 1'
_cell_length_a 5.013
_cell_length_b 6.760
_cell_length_c 8.689
_cell_angle_alpha 92.06
_cell_angle_beta 93.62
_cell_angle_gamma 104.28
loop_
_atom_site_label
_atom_site_fract_x
_atom_site_fract_y
_atom_site_fract_z
_atom_site_occupancy
Ca1 0.000 0.000 0.000 1
Cu1 0.912 0.695 0.255 1
P1 0.342 0.627 0.445 1
P2 0.538 0.154 0.805 1
P3 0.930 0.535 0.907 1
P4 0.954 0.234 0.360 1
Ru1 0.440 0.381 0.131 1
Ru2 0.939 0.888 0.622 1
O1 0.066 0.723 0.821 1
O2 0.112 0.401 0.969 1
O3 0.131 0.164 0.237 1
O4 0.132 0.766 0.451 1
O5 0.171 0.399 0.476 1
O6 0.289 0.116 0.691 1
O7 0.429 0.631 0.276 1
O8 0.475 0.133 0.979 1
O9 0.574 0.675 0.570 1
O10 0.698 0.390 0.788 1
O11 0.740 0.020 0.783 1
O12 0.754 0.350 0.290 1
O13 0.767 0.615 0.037 1
O14 0.812 0.058 0.453 1
```

---

4.
Structure and calculated powder diffraction line list of CaCuP4Ru2O14 (a DFT-relaxed cell (GGA-PBE, the Materials Project); Cu Kα (weighted mean of Kα1 and Kα2)).
Kinematic intensities with the Lorentz-polarization factor, no thermal factor.

Main lines, in order of falling intensity (10 to 90 degrees two-theta):
| index | d/Å | 2θ/deg | I (rel.) |
| --- | --- | --- | --- |
| -1 1 2 | 3.115 | 28.66 | 100 |
| 1 -1 2 | 3.146 | 28.37 | 94 |
| 1 1 0 | 3.398 | 26.22 | 64 |
| 0 1 -1 | 5.343 | 16.59 | 44 |
| 1 -1 0 | 4.508 | 19.69 | 44 |
| 1 -1 1 | 4.019 | 22.12 | 32 |
| 1 1 -2 | 2.770 | 32.32 | 32 |
| 0 2 2 | 2.496 | 35.98 | 32 |
| 0 1 1 | 4.994 | 17.76 | 29 |
| 2 -2 2 | 2.011 | 45.09 | 29 |
| 1 3 0 | 1.771 | 51.61 | 25 |
| 0 2 -2 | 2.671 | 33.55 | 25 |

```
data_CaCuP4Ru2O14
_chemical_formula_sum 'Ca1 Cu1 P4 Ru2 O14'
_symmetry_space_group_name_H-M 'P 1'
_symmetry_Int_Tables_number 1
_symmetry_space_group_name_Hall 'P 1'
_cell_length_a 5.005
_cell_length_b 6.701
_cell_length_c 8.725
_cell_angle_alpha 93.51
_cell_angle_beta 91.32
_cell_angle_gamma 106.56
loop_
_atom_site_label
_atom_site_fract_x
_atom_site_fract_y
_atom_site_fract_z
_atom_site_occupancy
Ca1 0.000 0.000 0.000 1
Cu1 0.590 0.445 0.444 1
P1 0.189 0.656 0.148 1
P2 0.561 0.797 0.663 1
P3 0.607 0.091 0.214 1
P4 0.986 0.229 0.716 1
Ru1 0.087 0.938 0.437 1
Ru2 0.592 0.443 0.931 1
O1 0.067 0.216 0.549 1
O2 0.107 0.663 0.315 1
O3 0.220 0.241 0.839 1
O4 0.324 0.880 0.614 1
O5 0.364 0.509 0.116 1
O6 0.377 0.900 0.116 1
O7 0.450 0.164 0.346 1
O8 0.475 0.645 0.787 1
O9 0.712 0.237 0.086 1
O10 0.726 0.728 0.530 1
O11 0.793 0.994 0.757 1
O12 0.812 0.379 0.744 1
O13 0.845 0.001 0.257 1
O14 0.957 0.652 0.026 1
```

---

5.
Structure and calculated powder diffraction line list of CaCuP4Ru2O14 (a DFT-relaxed cell (GGA-PBE, the Materials Project); Cu Kα (weighted mean of Kα1 and Kα2)).
Kinematic intensities with the Lorentz-polarization factor, no thermal factor.

Main lines, in order of falling intensity (10 to 90 degrees two-theta):
| index | d/Å | 2θ/deg | I (rel.) |
| --- | --- | --- | --- |
| 1 -1 2 | 3.117 | 28.64 | 100 |
| -1 1 2 | 3.148 | 28.35 | 99 |
| 0 1 1 | 5.008 | 17.71 | 84 |
| 0 1 -1 | 5.401 | 16.41 | 63 |
| 1 1 0 | 3.473 | 25.65 | 60 |
| 1 -1 0 | 4.604 | 19.28 | 55 |
| 1 -1 1 | 4.036 | 22.02 | 46 |
| 0 2 2 | 2.504 | 35.86 | 45 |
| 1 1 -2 | 2.823 | 31.69 | 43 |
| 1 0 1 | 4.130 | 21.52 | 43 |
| 2 0 0 | 2.450 | 36.68 | 31 |
| 1 1 -1 | 3.324 | 26.82 | 27 |

```
data_CaCuP4Ru2O14
_chemical_formula_sum 'Ca1 Cu1 P4 Ru2 O14'
_symmetry_space_group_name_H-M 'P 1'
_symmetry_Int_Tables_number 1
_symmetry_space_group_name_Hall 'P 1'
_cell_length_a 5.120
_cell_length_b 6.836
_cell_length_c 8.585
_cell_angle_alpha 93.50
_cell_angle_beta 92.80
_cell_angle_gamma 106.39
loop_
_atom_site_label
_atom_site_fract_x
_atom_site_fract_y
_atom_site_fract_z
_atom_site_occupancy
Ca1 0.000 0.000 0.000 1
Cu1 0.528 0.782 0.640 1
P1 0.174 0.010 0.379 1
P2 0.543 0.123 0.889 1
P3 0.562 0.420 0.446 1
P4 0.963 0.523 0.981 1
Ru1 0.054 0.281 0.668 1
Ru2 0.552 0.761 0.184 1
O1 0.037 0.532 0.811 1
O2 0.086 0.020 0.547 1
O3 0.190 0.544 0.106 1
O4 0.316 0.214 0.842 1
O5 0.344 0.239 0.338 1
O6 0.356 0.868 0.363 1
O7 0.390 0.493 0.573 1
O8 0.435 0.953 0.000 1
O9 0.681 0.588 0.340 1
O10 0.705 0.048 0.760 1
O11 0.774 0.660 0.007 1
O12 0.775 0.326 0.510 1
O13 0.778 0.285 0.002 1
O14 0.935 0.972 0.253 1
```

---

6.
Structure and calculated powder diffraction line list of CaCuP4Ru2O14 (a DFT-relaxed cell (GGA-PBE, the Materials Project); Cu Kα (weighted mean of Kα1 and Kα2)).
Kinematic intensities with the Lorentz-polarization factor, no thermal factor.

Main lines, in order of falling intensity (10 to 90 degrees two-theta):
| index | d/Å | 2θ/deg | I (rel.) |
| --- | --- | --- | --- |
| 1 0 1 | 4.018 | 22.12 | 100 |
| -1 1 2 | 3.120 | 28.61 | 91 |
| 0 1 1 | 5.063 | 17.52 | 73 |
| 1 -2 1 | 3.084 | 28.96 | 58 |
| 0 1 -1 | 5.409 | 16.39 | 45 |
| 1 1 1 | 3.057 | 29.22 | 41 |
| 1 2 -1 | 2.350 | 38.30 | 25 |
| 1 1 0 | 3.384 | 26.33 | 24 |
| 0 1 -3 | 2.634 | 34.03 | 23 |
| 1 1 -2 | 2.733 | 32.77 | 20 |
| 3 -1 2 | 1.521 | 60.92 | 20 |
| 2 1 -1 | 2.010 | 45.12 | 20 |

```
data_CaCuP4Ru2O14
_chemical_formula_sum 'Ca1 Cu1 P4 Ru2 O14'
_symmetry_space_group_name_H-M 'P 1'
_symmetry_Int_Tables_number 1
_symmetry_space_group_name_Hall 'P 1'
_cell_length_a 5.008
_cell_length_b 7.096
_cell_length_c 8.375
_cell_angle_alpha 92.94
_cell_angle_beta 92.23
_cell_angle_gamma 108.76
loop_
_atom_site_label
_atom_site_fract_x
_atom_site_fract_y
_atom_site_fract_z
_atom_site_occupancy
Ca1 0.000 0.000 0.000 1
Cu1 0.393 0.867 0.720 1
P1 0.217 0.196 0.588 1
P2 0.590 0.278 0.136 1
P3 0.648 0.590 0.669 1
P4 0.996 0.677 0.225 1
Ru1 0.118 0.442 0.905 1
Ru2 0.613 0.933 0.400 1
O1 0.085 0.684 0.048 1
O2 0.123 0.190 0.762 1
O3 0.233 0.711 0.352 1
O4 0.334 0.331 0.075 1
O5 0.411 0.062 0.577 1
O6 0.414 0.418 0.560 1
O7 0.472 0.091 0.228 1
O8 0.483 0.654 0.811 1
O9 0.761 0.766 0.565 1
O10 0.768 0.234 0.000 1
O11 0.790 0.456 0.254 1
O12 0.820 0.822 0.228 1
O13 0.877 0.513 0.729 1
O14 0.989 0.156 0.455 1
```

---

7.
Structure and calculated powder diffraction line list of SrCaCuP2O8 (a DFT-relaxed cell (GGA-PBE, the Materials Project); Cu Kα (weighted mean of Kα1 and Kα2)).
Kinematic intensities with the Lorentz-polarization factor, no thermal factor.

Main lines, in order of falling intensity (10 to 90 degrees two-theta):
| index | d/Å | 2θ/deg | I (rel.) |
| --- | --- | --- | --- |
| 0 2 -2 | 3.157 | 28.27 | 100 |
| -1 2 1 | 2.752 | 32.53 | 53 |
| 1 1 1 | 2.989 | 29.89 | 52 |
| 1 0 -3 | 2.875 | 31.10 | 49 |
| 2 -1 0 | 2.842 | 31.47 | 39 |
| -1 1 1 | 4.152 | 21.40 | 36 |
| 2 0 -1 | 2.917 | 30.65 | 34 |
| 1 3 -1 | 1.959 | 46.36 | 23 |
| 1 1 -3 | 2.899 | 30.84 | 22 |
| 0 1 2 | 3.032 | 29.46 | 21 |
| 1 -1 1 | 4.272 | 20.79 | 20 |
| 0 2 -4 | 2.168 | 41.66 | 16 |

```
data_SrCaCuP2O8
_chemical_formula_sum 'Sr2 Ca2 Cu2 P4 O16'
_symmetry_space_group_name_H-M 'P -1'
_symmetry_Int_Tables_number 2
_symmetry_space_group_name_Hall '-P 1'
_cell_length_a 5.926
_cell_length_b 6.915
_cell_length_c 9.328
_cell_angle_alpha 108.66
_cell_angle_beta 102.56
_cell_angle_gamma 99.82
loop_
_atom_site_label
_atom_site_fract_x
_atom_site_fract_y
_atom_site_fract_z
_atom_site_occupancy
Sr1 0.225 0.187 0.435 1
Ca1 0.493 0.416 0.161 1
Cu1 0.160 0.844 0.046 1
P1 0.104 0.580 0.268 1
P2 0.341 0.031 0.796 1
O1 0.081 0.407 0.104 1
O2 0.118 0.454 0.675 1
O3 0.146 0.940 0.864 1
O4 0.150 0.798 0.248 1
O5 0.224 0.991 0.623 1
O6 0.334 0.562 0.379 1
O7 0.450 0.085 0.190 1
O8 0.458 0.269 0.898 1
```

---

8.
Structure and calculated powder diffraction line list of CaTiCuP3O12 (a DFT-relaxed cell (GGA-PBE, the Materials Project); Cu Kα (weighted mean of Kα1 and Kα2)).
Kinematic intensities with the Lorentz-polarization factor, no thermal factor.

Main lines, in order of falling intensity (10 to 90 degrees two-theta):
| index | d/Å | 2θ/deg | I (rel.) |
| --- | --- | --- | --- |
| 1 1 3 | 3.710 | 23.99 | 100 |
| 1 1 6 | 2.778 | 32.23 | 72 |
| 1 1 0 | 4.315 | 20.58 | 67 |
| 3 0 0 | 2.492 | 36.05 | 29 |
| 2 2 6 | 1.855 | 49.12 | 26 |
| 1 2 8 | 1.960 | 46.32 | 21 |
| 0 2 4 | 3.081 | 28.98 | 21 |
| 4 1 0 | 1.631 | 56.41 | 20 |
| 1 0 4 | 4.401 | 20.18 | 19 |
| 2 1 1 | 2.802 | 31.94 | 16 |
| 4 1 6 | 1.488 | 62.42 | 16 |
| 2 1 10 | 1.725 | 53.09 | 13 |

```
data_CaTiCuP3O12
_chemical_formula_sum 'Ca6 Ti6 Cu6 P18 O72'
_symmetry_space_group_name_H-M 'R 3 c'
_symmetry_Int_Tables_number 161
_symmetry_space_group_name_Hall 'R 3 -2"c'
_cell_length_a 8.6309
_cell_length_b 8.6309
_cell_length_c 21.7786
_cell_angle_alpha 90.00
_cell_angle_beta 90.00
_cell_angle_gamma 120.00
loop_
_atom_site_label
_atom_site_fract_x
_atom_site_fract_y
_atom_site_fract_z
_atom_site_occupancy
Ca1 0.0000 0.0000 0.0000 1
Ti1 0.0000 0.0000 0.3505 1
Cu1 0.0000 0.0000 0.1442 1
P1 0.0444 0.3770 0.4127 1
O1 0.0181 0.2069 0.6864 1
O2 0.0282 0.1888 0.4136 1
O3 0.1552 0.4737 0.4710 1
O4 0.1670 0.4769 0.7473 1
```

---

Repeat the sixth record exactly.
Structure and calculated powder diffraction line list of CaCuP4Ru2O14 (a DFT-relaxed cell (GGA-PBE, the Materials Project); Cu Kα (weighted mean of Kα1 and Kα2)).
Kinematic intensities with the Lorentz-polarization factor, no thermal factor.

Main lines, in order of falling intensity (10 to 90 degrees two-theta):
| index | d/Å | 2θ/deg | I (rel.) |
| --- | --- | --- | --- |
| 1 0 1 | 4.018 | 22.12 | 100 |
| -1 1 2 | 3.120 | 28.61 | 91 |
| 0 1 1 | 5.063 | 17.52 | 73 |
| 1 -2 1 | 3.084 | 28.96 | 58 |
| 0 1 -1 | 5.409 | 16.39 | 45 |
| 1 1 1 | 3.057 | 29.22 | 41 |
| 1 2 -1 | 2.350 | 38.30 | 25 |
| 1 1 0 | 3.384 | 26.33 | 24 |
| 0 1 -3 | 2.634 | 34.03 | 23 |
| 1 1 -2 | 2.733 | 32.77 | 20 |
| 3 -1 2 | 1.521 | 60.92 | 20 |
| 2 1 -1 | 2.010 | 45.12 | 20 |

```
data_CaCuP4Ru2O14
_chemical_formula_sum 'Ca1 Cu1 P4 Ru2 O14'
_symmetry_space_group_name_H-M 'P 1'
_symmetry_Int_Tables_number 1
_symmetry_space_group_name_Hall 'P 1'
_cell_length_a 5.008
_cell_length_b 7.096
_cell_length_c 8.375
_cell_angle_alpha 92.94
_cell_angle_beta 92.23
_cell_angle_gamma 108.76
loop_
_atom_site_label
_atom_site_fract_x
_atom_site_fract_y
_atom_site_fract_z
_atom_site_occupancy
Ca1 0.000 0.000 0.000 1
Cu1 0.393 0.867 0.720 1
P1 0.217 0.196 0.588 1
P2 0.590 0.278 0.136 1
P3 0.648 0.590 0.669 1
P4 0.996 0.677 0.225 1
Ru1 0.118 0.442 0.905 1
Ru2 0.613 0.933 0.400 1
O1 0.085 0.684 0.048 1
O2 0.123 0.190 0.762 1
O3 0.233 0.711 0.352 1
O4 0.334 0.331 0.075 1
O5 0.411 0.062 0.577 1
O6 0.414 0.418 0.560 1
O7 0.472 0.091 0.228 1
O8 0.483 0.654 0.811 1
O9 0.761 0.766 0.565 1
O10 0.768 0.234 0.000 1
O11 0.790 0.456 0.254 1
O12 0.820 0.822 0.228 1
O13 0.877 0.513 0.729 1
O14 0.989 0.156 0.455 1
```

---

> Number 8 is which compound?

CaTiCuP3O12

---

> Which formula does entry 6 have?

CaCuP4Ru2O14